Computed powder XRD pattern of Na3V2P3O12 for Cu Ka, from a GGA+U-relaxed structure.
Peak positions follow from Bragg's law for the DFT cell and can differ from measured ones.

Principal peaks in the range 2θ from 10° to 90°, low angle first:
d = 6.297 Å, rel. 23; d = 4.454 Å, rel. 46; d = 4.432 Å, rel. 20; d = 3.795 Å, rel. 55; d = 3.786 Å, rel. 26; d = 3.149 Å, rel. 16; d = 2.875 Å, rel. 22; d = 2.817 Å, rel. 100; d = 2.567 Å, rel. 40; d = 2.555 Å, rel. 16; d = 1.901 Å, rel. 14; d = 1.894 Å, rel. 31

Cell and atoms:
Lattice parameters (Å, degrees): 8.8649 8.8649 8.9032 119.77 119.77 60.33
Atoms (fractional coordinates):
Na1 0.0000 0.5000 0.0000
Na2 0.1093 0.2500 0.2453
Na3 0.2500 0.1093 0.7453
Na4 0.5000 0.0000 0.5000
Na5 0.7500 0.8907 0.2547
Na6 0.8907 0.7500 0.7547
V1 0.1503 0.6410 0.4394
V2 0.3590 0.8497 0.0606
V3 0.6410 0.1503 0.9394
V4 0.8497 0.3590 0.5606
P1 0.0433 0.9567 0.2500
P2 0.2519 0.4523 0.7417
P3 0.4523 0.2519 0.2417
P4 0.5477 0.7481 0.7583
P5 0.7481 0.5477 0.2583
P6 0.9567 0.0433 0.7500
O1 0.0193 0.1285 0.4227
O2 0.0645 0.7819 0.2689
O3 0.0868 0.4354 0.7472
O4 0.1285 0.0193 0.9227
O5 0.2004 0.4690 0.5554
O6 0.2181 0.9355 0.2311
O7 0.2714 0.4154 0.2532
O8 0.2853 0.6265 0.9003
O9 0.3735 0.7147 0.5997
O10 0.4154 0.2714 0.7532
O11 0.4354 0.0868 0.2472
O12 0.4690 0.2004 0.0554
O13 0.5310 0.7996 0.9446
O14 0.5646 0.9132 0.7528
O15 0.5846 0.7286 0.2468
O16 0.6265 0.2853 0.4003
O17 0.7147 0.3735 0.0997
O18 0.7286 0.5846 0.7468
O19 0.7819 0.0645 0.7689
O20 0.7996 0.5310 0.4446
O21 0.8715 0.9807 0.0773
O22 0.9132 0.5646 0.2528
O23 0.9355 0.2181 0.7311
O24 0.9807 0.8715 0.5773